Record 1
Starting from a structure optimized by DFT (PBE), the X-ray diffraction stick pattern of Rb4CoGeSe6 was simulated for Cu Ka.

Structure:
```
data_Rb4CoGeSe6
_cell_length_a 7.049
_cell_length_b 7.783
_cell_length_c 9.358
_cell_angle_alpha 71.74
_cell_angle_beta 68.60
_cell_angle_gamma 63.88
_space_group_name_H-M_alt 'P 1'
_space_group_IT_number 1
loop_
_space_group_symop_operation_xyz
'x,y,z'
loop_
_atom_site_label
_atom_site_type_symbol
_atom_site_fract_x
_atom_site_fract_y
_atom_site_fract_z
Rb1 Rb 0.000 0.000 0.000
Rb2 Rb 0.178 0.388 0.254
Rb3 Rb 0.408 0.747 0.449
Rb4 Rb 0.767 0.645 0.806
Co1 Co 0.707 0.142 0.448
Ge1 Ge 0.464 0.252 0.815
Se1 Se 0.277 0.575 0.853
Se2 Se 0.355 0.188 0.621
Se3 Se 0.477 0.009 0.037
Se4 Se 0.705 0.362 0.225
Se5 Se 0.824 0.205 0.626
Se6 Se 0.890 0.836 0.398
```

Largest 12 diffraction maxima, by angle, 15 to 90 degrees two-theta:
hkl 1 0 1, 15.44 deg, I 31; hkl 2 1 1, 25.27 deg, I 74; hkl 0 2 1, 26.12 deg, I 100; hkl 0 1 -2, 26.46 deg, I 80; hkl 0 1 3, 31.66 deg, I 46; hkl 2 1 -1, 32.74 deg, I 21; hkl 2 2 3, 34.30 deg, I 20; hkl 2 3 2, 36.93 deg, I 32; hkl 0 3 -1, 42.69 deg, I 28; hkl 4 2 2, 51.89 deg, I 22; hkl 0 3 4, 52.93 deg, I 17; hkl 0 0 5, 53.50 deg, I 17

Record 2
Starting from a structure optimized by DFT (PBE), the X-ray diffraction stick pattern of DyYCuSi3 was simulated for Cu Ka.

Structure:
```
data_DyYCuSi3
_cell_length_a 7.997
_cell_length_b 8.076
_cell_length_c 13.847
_cell_angle_alpha 90.00
_cell_angle_beta 90.00
_cell_angle_gamma 90.00
_space_group_name_H-M_alt 'F m m m'
_space_group_IT_number 69
_space_group_name_Hall '-F 2 2'
loop_
_atom_site_label
_atom_site_type_symbol
_atom_site_fract_x
_atom_site_fract_y
_atom_site_fract_z
Dy1 Dy 0.250 0.250 0.250
Y1 Y 0.000 0.244 0.000
Cu1 Cu 0.000 0.000 0.333
Si1 Si 0.000 0.000 0.169
Si2 Si 0.244 0.000 0.415
```

Largest 12 diffraction maxima, by angle, 15 to 90 degrees two-theta:
hkl 2 0 2, 25.73 deg, I 28; hkl 2 2 0, 31.49 deg, I 5; hkl 2 2 2, 34.11 deg, I 100; hkl 0 4 0, 44.90 deg, I 12; hkl 4 0 0, 45.37 deg, I 34; hkl 2 4 2, 52.47 deg, I 8; hkl 0 0 8, 52.89 deg, I 4; hkl 4 2 4, 57.96 deg, I 21; hkl 4 4 0, 65.74 deg, I 22; hkl 2 6 2, 75.83 deg, I 9; hkl 2 2 10, 76.53 deg, I 19; hkl 0 0 12, 83.82 deg, I 6